1.
The following is a calculated powder diffraction line list of Y4Ho11Er9. It was derived from a structure optimized by DFT (PBE), using Cu Kα X-rays.
Intensities are scaled so that the largest is 100.

Top 6 peaks for 2θ = 15–90°, most intense first:
| hkl | d [Å] | I_rel |
| --- | --- | --- |
| 4 6 0 | 2.938 | 100 |
| 0 6 1 | 2.740 | 88 |
| 4 0 1 | 2.730 | 71 |
| 4 6 2 | 1.544 | 26 |
| 3 3 1 | 2.851 | 24 |
| 1 5 1 | 2.894 | 19 |

Structure:
Cell: 16.555 25.037 3.631 Å, 90.00 90.00 90.00°
Space group Cmmm (No. 65)
One atom of each set of equivalent atoms:
Y 0.155 0.101 0.000
Ho 0.000 0.133 0.500
Ho 0.000 0.340 0.500
Ho 0.000 0.500 0.500
Ho 0.211 0.000 0.500
Ho 0.224 0.319 0.500
Er 0.000 0.000 0.000
Er 0.102 0.234 0.000
Er 0.140 0.427 0.000

---

2.
The following is a calculated powder diffraction line list of Y2HoEr7. It was derived from a structure optimized by DFT (PBE), using Cu Kα X-rays.
Intensities are scaled so that the largest is 100.

Top 6 peaks for 2θ = 15–90°, most intense first:
| hkl | d [Å] | I_rel |
| --- | --- | --- |
| 0 10 0 | 2.948 | 100 |
| 1 3 1 | 2.877 | 88 |
| 2 4 0 | 2.811 | 82 |
| 2 6 0 | 2.586 | 81 |
| 1 5 -1 | 2.694 | 52 |
| 1 1 -1 | 3.012 | 50 |

Structure:
Cell: 6.082 29.477 3.477 Å, 90.00 90.43 90.00°
Space group C2/m (No. 12)
One atom of each set of equivalent atoms:
Y 0.000 0.208 0.000
Ho 0.000 0.000 0.500
Er 0.000 0.310 0.500
Er 0.000 0.500 0.000
Er 0.246 0.099 0.769

---

3.
The following is a calculated powder diffraction line list of Y5Ho5Er2. It was derived from a structure optimized by DFT (PBE), using Cu Kα X-rays.
Intensities are scaled so that the largest is 100.

Top 6 peaks for 2θ = 15–90°, most intense first:
| hkl | d [Å] | I_rel |
| --- | --- | --- |
| 0 2 0 | 2.814 | 100 |
| 3 1 1 | 2.784 | 75 |
| 0 0 4 | 2.887 | 30 |
| 0 2 4 | 2.015 | 21 |
| 2 0 -3 | 3.805 | 15 |
| 3 3 1 | 1.618 | 15 |

Structure:
Cell: 11.679 5.626 12.248 Å, 90.00 109.44 90.00°
Space group C2/m (No. 12)
One atom of each set of equivalent atoms:
Y 0.000 0.000 0.000
Y 0.073 0.000 0.743
Y 0.194 0.000 0.531
Ho 0.000 0.500 0.500
Ho 0.190 0.500 0.974
Ho 0.243 0.000 0.273
Er 0.080 0.500 0.204

---

4.
The following is a calculated powder diffraction line list of Y3Ho3Er. It was derived from a structure optimized by DFT (PBE), using Cu Kα X-rays.
Intensities are scaled so that the largest is 100.

Top 6 peaks for 2θ = 15–90°, most intense first:
| hkl | d [Å] | I_rel |
| --- | --- | --- |
| 2 0 2 | 2.950 | 100 |
| 1 2 2 | 2.529 | 79 |
| 3 0 0 | 2.838 | 78 |
| 2 1 1 | 2.995 | 53 |
| 2 2 0 | 2.458 | 36 |
| 1 0 1 | 5.900 | 33 |

Structure:
Cell: 9.8317 9.8317 8.1819 Å, 90.00 90.00 120.00°
Space group R3m (No. 160, hexagonal axes)
One atom of each set of equivalent atoms:
Y 0.2160 0.4320 0.0000
Ho 0.1979 0.3958 0.5738
Er 0.0000 0.0000 0.6315

---

5.
The following is a calculated powder diffraction line list of Y5Ho2Er12. It was derived from a structure optimized by DFT (PBE), using Cu Kα X-rays.
Intensities are scaled so that the largest is 100.

Top 6 peaks for 2θ = 15–90°, most intense first:
| hkl | d [Å] | I_rel |
| --- | --- | --- |
| 1 0 -3 | 2.838 | 100 |
| 1 3 0 | 2.665 | 62 |
| 0 3 3 | 2.799 | 60 |
| 1 -2 2 | 2.745 | 57 |
| 2 1 1 | 2.866 | 50 |
| 1 1 4 | 2.635 | 44 |

Structure:
Cell: 5.974 9.646 11.153 Å, 70.09 82.71 88.88°
Space group P-1 (No. 2)
One atom of each set of equivalent atoms:
Y 0.000 0.000 0.000
Y 0.103 0.962 0.344
Y 0.500 0.453 0.169
Ho 0.283 0.568 0.420
Er 0.040 0.686 0.656
Er 0.073 0.315 0.043
Er 0.163 0.318 0.728
Er 0.385 0.906 0.787
Er 0.426 0.819 0.105
Er 0.429 0.181 0.487

---

6.
The following is a calculated powder diffraction line list of Y7Ho2Er4. It was derived from a structure optimized by DFT (PBE), using Cu Kα X-rays.
Intensities are scaled so that the largest is 100.

Top 6 peaks for 2θ = 15–90°, most intense first:
| hkl | d [Å] | I_rel |
| --- | --- | --- |
| 2 1 1 | 2.893 | 100 |
| 1 3 1 | 2.500 | 33 |
| 2 3 4 | 1.773 | 24 |
| 3 4 2 | 1.509 | 17 |
| 1 0 3 | 2.516 | 17 |
| 3 1 4 | 1.515 | 14 |

Structure:
Cell: 6.140 7.895 9.387 Å, 65.15 89.76 82.53°
Space group P-1 (No. 2)
One atom of each set of equivalent atoms:
Y 0.000 0.000 0.000
Y 0.077 0.538 0.308
Y 0.232 0.615 0.923
Y 0.386 0.694 0.538
Ho 0.154 0.076 0.615
Er 0.307 0.152 0.230
Er 0.460 0.229 0.846

---

7.
The following is a calculated powder diffraction line list of YHo4Er10. It was derived from a structure optimized by DFT (PBE), using Cu Kα X-rays.
Intensities are scaled so that the largest is 100.

Top 6 peaks for 2θ = 15–90°, most intense first:
| hkl | d [Å] | I_rel |
| --- | --- | --- |
| 4 2 0 | 2.695 | 100 |
| 7 1 2 | 1.556 | 38 |
| 2 1 1 | 4.401 | 22 |
| 2 6 0 | 1.906 | 18 |
| 1 3 0 | 3.811 | 18 |
| 5 0 1 | 2.298 | 12 |

Structure:
Cell: 12.058 12.058 7.615 Å, 90.00 90.00 90.00°
Space group I4/m (No. 87)
One atom of each set of equivalent atoms:
Y 0.000 0.000 0.000
Ho 0.100 0.300 0.500
Er 0.000 0.500 0.250
Er 0.100 0.799 0.251

---

8.
The following is a calculated powder diffraction line list of Y5Ho2Er12. It was derived from a structure optimized by DFT (PBE), using Cu Kα X-rays.
Intensities are scaled so that the largest is 100.

Top 6 peaks for 2θ = 15–90°, most intense first:
| hkl | d [Å] | I_rel |
| --- | --- | --- |
| 4 0 2 | 2.806 | 100 |
| 2 2 -2 | 2.922 | 45 |
| 1 3 1 | 2.818 | 44 |
| 1 1 -3 | 2.689 | 40 |
| 3 3 1 | 2.496 | 40 |
| 4 2 -2 | 2.461 | 31 |

Structure:
Cell: 15.480 9.155 8.528 Å, 90.00 92.26 90.00°
Space group C2/m (No. 12)
One atom of each set of equivalent atoms:
Y 0.000 0.000 0.000
Y 0.206 0.500 0.519
Y 0.232 0.000 0.071
Ho 0.000 0.327 0.500
Er 0.056 0.500 0.837
Er 0.075 0.000 0.375
Er 0.130 0.308 0.170
Er 0.149 0.180 0.741

---

What is the formula in the first record? Y4Ho11Er9

---

What did the fifth record say?
The following is a calculated powder diffraction line list of Y5Ho2Er12. It was derived from a structure optimized by DFT (PBE), using Cu Kα X-rays.
Intensities are scaled so that the largest is 100.

Top 6 peaks for 2θ = 15–90°, most intense first:
| hkl | d [Å] | I_rel |
| --- | --- | --- |
| 1 0 -3 | 2.838 | 100 |
| 1 3 0 | 2.665 | 62 |
| 0 3 3 | 2.799 | 60 |
| 1 -2 2 | 2.745 | 57 |
| 2 1 1 | 2.866 | 50 |
| 1 1 4 | 2.635 | 44 |

Structure:
Cell: 5.974 9.646 11.153 Å, 70.09 82.71 88.88°
Space group P-1 (No. 2)
One atom of each set of equivalent atoms:
Y 0.000 0.000 0.000
Y 0.103 0.962 0.344
Y 0.500 0.453 0.169
Ho 0.283 0.568 0.420
Er 0.040 0.686 0.656
Er 0.073 0.315 0.043
Er 0.163 0.318 0.728
Er 0.385 0.906 0.787
Er 0.426 0.819 0.105
Er 0.429 0.181 0.487